[1]
For SmSb2, a GGA-PBE-relaxed structure gives the calculated XRD peak list in this record (Cu Kα).
Intensities are scaled so that the largest is 1000.

Peak list (12 most intense, 2θ from 5° to 70°, by angle)
25.12 deg, 3.546 Å, I 168
28.39 deg, 3.144 Å, I 184
29.71 deg, 3.007 Å, I 418
30.11 deg, 2.968 Å, I 514
32.79 deg, 2.731 Å, I 1000
34.79 deg, 2.579 Å, I 467
36.21 deg, 2.481 Å, I 295
41.44 deg, 2.179 Å, I 553
48.55 deg, 1.875 Å, I 162
54.97 deg, 1.670 Å, I 259
58.75 deg, 1.572 Å, I 132
68.93 deg, 1.362 Å, I 316

Cell and atoms:
```
SmSb2
1.0
3.143 -3.066 0.000
3.143 3.066 0.000
0.000 0.000 18.041
Sm Sb
4 8
Cartesian
3.143 2.206 16.044 Sm
3.143 0.860 7.024 Sm
3.143 -0.860 11.017 Sm
3.143 -2.206 1.997 Sm
1.572 0.771 13.531 Sb
3.143 2.225 10.185 Sb
3.143 0.841 1.164 Sb
1.572 -0.771 4.510 Sb
4.715 0.771 13.531 Sb
3.143 -0.841 16.877 Sb
3.143 -2.225 7.856 Sb
4.715 -0.771 4.510 Sb
```

---

[2]
For Ti3Zn5, a GGA-PBE-relaxed structure gives the calculated XRD peak list in this record (Cu Kα).
Intensities are scaled so that the largest is 1000.

Peak list (12 most intense, 2θ from 5° to 70°, by angle)
12.57 deg, 7.043 Å, I 19
22.27 deg, 3.991 Å, I 10
25.29 deg, 3.522 Å, I 16
30.37 deg, 2.943 Å, I 22
39.92 deg, 2.258 Å, I 1000
43.49 deg, 2.081 Å, I 389
49.68 deg, 1.835 Å, I 8
50.98 deg, 1.792 Å, I 11
51.93 deg, 1.761 Å, I 110
61.36 deg, 1.511 Å, I 6
63.19 deg, 1.471 Å, I 118
69.99 deg, 1.344 Å, I 167

Cell and atoms:
```
Ti3Zn5
1.0
-2.081 2.081 7.043
2.081 -2.081 7.043
2.081 2.081 -7.043
Ti Zn
3 5
Cartesian
0.000 0.000 0.000 Ti
0.000 0.000 3.533 Ti
0.000 0.000 10.554 Ti
2.081 0.000 1.713 Zn
2.081 0.000 5.331 Zn
0.000 0.000 7.043 Zn
0.000 2.081 1.713 Zn
0.000 2.081 5.331 Zn
```

---

[3]
For CdH6IrPb, a GGA-PBE-relaxed structure gives the calculated XRD peak list in this record (Cu Kα).
Intensities are scaled so that the largest is 1000.

Peak list (12 most intense, 2θ from 5° to 70°, by angle)
20.39 deg, 4.356 Å, I 488
20.95 deg, 4.240 Å, I 360
26.56 deg, 3.356 Å, I 642
27.14 deg, 3.285 Å, I 490
27.32 deg, 3.264 Å, I 222
27.91 deg, 3.197 Å, I 1000
34.79 deg, 2.579 Å, I 375
36.65 deg, 2.452 Å, I 467
39.18 deg, 2.299 Å, I 316
40.63 deg, 2.221 Å, I 364
40.99 deg, 2.202 Å, I 240
42.32 deg, 2.136 Å, I 237

Cell and atoms:
```
CdH6IrPb
1.0
4.784 0.000 0.000
-2.267 4.358 0.000
-0.209 -0.138 5.157
Cd H Ir Pb
1 6 1 1
Cartesian
0.000 0.000 0.000 Cd
-0.823 3.820 1.702 H
0.505 1.758 1.962 H
-0.227 3.654 4.529 H
0.952 1.815 4.929 H
1.210 3.688 1.466 H
3.449 1.853 0.454 H
0.037 2.757 0.699 Ir
3.113 2.003 3.059 Pb
```

---

[4]
For Pm12PrTm2, a GGA-PBE-relaxed structure gives the calculated XRD peak list in this record (Cu Kα).
Intensities are scaled so that the largest is 1000.

Peak list (12 most intense, 2θ from 5° to 70°, by angle)
20.53 deg, 4.326 Å, I 270
28.33 deg, 3.150 Å, I 750
29.41 deg, 3.037 Å, I 566
30.86 deg, 2.898 Å, I 570
30.96 deg, 2.889 Å, I 325
31.26 deg, 2.861 Å, I 1000
31.47 deg, 2.843 Å, I 467
32.54 deg, 2.751 Å, I 854
37.44 deg, 2.402 Å, I 501
39.19 deg, 2.298 Å, I 493
55.13 deg, 1.666 Å, I 523
66.12 deg, 1.413 Å, I 284

Cell and atoms:
```
Pm12PrTm2
1.0
6.501 0.000 0.000
0.000 6.501 0.000
0.000 0.000 25.590
Pm Pr Tm
24 2 4
Cartesian
0.441 3.691 2.984 Pm
0.441 6.060 22.606 Pm
0.532 3.783 11.209 Pm
0.532 5.969 14.381 Pm
1.625 1.625 5.558 Pm
1.625 1.625 8.648 Pm
1.625 1.625 16.942 Pm
1.625 1.625 20.032 Pm
2.718 3.783 14.381 Pm
2.718 5.969 11.209 Pm
2.810 3.691 22.606 Pm
2.810 6.060 2.984 Pm
3.691 0.441 22.606 Pm
3.691 2.810 2.984 Pm
3.783 0.532 14.381 Pm
3.783 2.718 11.209 Pm
4.876 4.876 5.558 Pm
4.876 4.876 8.648 Pm
4.876 4.876 16.942 Pm
4.876 4.876 20.032 Pm
5.969 0.532 11.209 Pm
5.969 2.718 14.381 Pm
6.060 0.441 2.984 Pm
6.060 2.810 22.606 Pm
1.625 4.876 0.000 Pr
4.876 1.625 0.000 Pr
1.625 4.876 7.029 Tm
1.625 4.876 18.561 Tm
4.876 1.625 7.029 Tm
4.876 1.625 18.561 Tm
```

---

[5]
For Li3Ag3Hg2, a GGA-PBE-relaxed structure gives the calculated XRD peak list in this record (Cu Kα).
Intensities are scaled so that the largest is 1000.

Peak list (12 most intense, 2θ from 5° to 70°, by angle)
13.38 deg, 6.618 Å, I 662
20.35 deg, 4.363 Å, I 670
26.90 deg, 3.314 Å, I 553
30.14 deg, 2.965 Å, I 682
37.79 deg, 2.381 Å, I 537
38.36 deg, 2.347 Å, I 1000
38.50 deg, 2.338 Å, I 993
38.98 deg, 2.310 Å, I 568
43.29 deg, 2.090 Å, I 184
55.41 deg, 1.658 Å, I 354
68.52 deg, 1.369 Å, I 177
68.79 deg, 1.365 Å, I 192

Cell and atoms:
```
Li3Ag3Hg2
1.0
7.022 -2.311 0.000
7.022 2.311 0.000
-1.592 0.000 4.488
Li Ag Hg
3 3 2
Cartesian
0.000 0.000 0.000 Li
0.830 0.000 2.834 Li
11.623 0.000 1.654 Li
4.021 0.000 3.987 Ag
6.226 0.000 2.244 Ag
8.432 0.000 0.501 Ag
3.104 0.000 1.127 Hg
9.349 0.000 3.361 Hg
```

---

[6]
For Yb3Se4, a GGA-PBE-relaxed structure gives the calculated XRD peak list in this record (Cu Kα).
Intensities are scaled so that the largest is 1000.

Peak list (12 most intense, 2θ from 5° to 70°, by angle)
23.64 deg, 3.764 Å, I 898
28.95 deg, 3.084 Å, I 238
29.43 deg, 3.035 Å, I 375
30.46 deg, 2.935 Å, I 936
32.58 deg, 2.749 Å, I 1000
35.24 deg, 2.547 Å, I 233
40.61 deg, 2.222 Å, I 709
42.36 deg, 2.134 Å, I 340
44.87 deg, 2.020 Å, I 400
45.01 deg, 2.014 Å, I 769
51.45 deg, 1.776 Å, I 233
65.44 deg, 1.426 Å, I 260

Cell and atoms:
```
Yb3Se4
1.0
13.542 0.000 0.000
0.000 4.028 0.000
0.000 0.000 13.583
Yb Se
12 16
Cartesian
1.448 1.007 1.097 Yb
1.773 3.021 5.646 Yb
1.986 1.007 9.562 Yb
4.785 3.021 2.770 Yb
4.998 1.007 12.438 Yb
5.323 3.021 7.889 Yb
8.219 1.007 5.694 Yb
8.545 3.021 1.145 Yb
8.758 1.007 10.813 Yb
11.556 3.021 4.021 Yb
11.769 1.007 7.937 Yb
12.095 3.021 12.486 Yb
0.349 3.021 8.312 Se
0.478 1.007 11.962 Se
2.904 1.007 3.620 Se
3.358 3.021 0.273 Se
3.413 1.007 7.064 Se
3.868 3.021 10.412 Se
6.293 3.021 5.170 Se
6.422 1.007 1.521 Se
7.121 3.021 12.062 Se
7.249 1.007 8.413 Se
9.675 1.007 3.171 Se
10.130 3.021 6.519 Se
10.184 1.007 13.310 Se
10.639 3.021 9.963 Se
13.064 3.021 1.621 Se
13.193 1.007 5.271 Se
```

---

[7]
For Ta2Be16Cu, a GGA-PBE-relaxed structure gives the calculated XRD peak list in this record (Cu Kα).
Intensities are scaled so that the largest is 1000.

Peak list (12 most intense, 2θ from 5° to 70°, by angle)
16.07 deg, 5.516 Å, I 275
21.51 deg, 4.130 Å, I 130
24.02 deg, 3.705 Å, I 1000
24.74 deg, 3.598 Å, I 208
34.76 deg, 2.581 Å, I 594
36.11 deg, 2.488 Å, I 191
42.25 deg, 2.139 Å, I 291
43.84 deg, 2.065 Å, I 130
49.19 deg, 1.852 Å, I 209
49.58 deg, 1.839 Å, I 280
50.60 deg, 1.804 Å, I 158
66.81 deg, 1.400 Å, I 124

Cell and atoms:
```
Ta2Be16Cu
1.0
3.705 2.139 3.598
-3.705 2.139 3.598
0.000 -4.278 3.598
Ta Be Cu
2 16 1
Cartesian
0.000 0.000 0.000 Ta
0.000 0.000 3.415 Ta
0.000 -2.105 1.845 Be
-1.823 1.053 1.845 Be
-1.870 -1.080 5.328 Be
0.000 -2.187 5.207 Be
-1.894 1.093 5.207 Be
-1.095 -1.899 7.122 Be
-2.193 0.001 7.122 Be
1.823 1.053 1.845 Be
1.095 -1.899 7.122 Be
-1.097 1.898 7.122 Be
1.870 -1.080 5.328 Be
0.000 2.160 5.328 Be
0.000 0.000 8.252 Be
1.894 1.093 5.207 Be
2.193 0.001 7.122 Be
1.097 1.898 7.122 Be
0.000 0.000 6.093 Cu
```

---

[8]
For AcP2IO6, a GGA-PBE-relaxed structure gives the calculated XRD peak list in this record (Cu Kα).
Intensities are scaled so that the largest is 1000.

Peak list (12 most intense, 2θ from 5° to 70°, by angle)
19.05 deg, 4.658 Å, I 177
19.84 deg, 4.476 Å, I 780
26.49 deg, 3.365 Å, I 1000
29.82 deg, 2.997 Å, I 847
33.31 deg, 2.690 Å, I 334
40.30 deg, 2.238 Å, I 200
43.05 deg, 2.101 Å, I 405
46.76 deg, 1.943 Å, I 185
47.47 deg, 1.915 Å, I 349
48.88 deg, 1.863 Å, I 343
54.54 deg, 1.683 Å, I 169
62.23 deg, 1.492 Å, I 171

Cell and atoms:
```
AcP2IO6
1.0
3.365 1.943 4.658
-3.365 1.943 4.658
0.000 -3.886 4.658
Ac P I O
1 2 1 6
Cartesian
0.000 0.000 0.000 Ac
0.000 0.000 4.118 P
0.000 0.000 9.857 P
0.000 0.000 6.988 I
0.000 -1.480 3.847 O
-1.281 0.740 3.847 O
-1.281 -0.740 10.128 O
1.281 0.740 3.847 O
1.281 -0.740 10.128 O
0.000 1.480 10.128 O
```

---

[9]
For NaAg2BiCl6, a GGA-PBE-relaxed structure gives the calculated XRD peak list in this record (Cu Kα).
Intensities are scaled so that the largest is 1000.

Peak list (12 most intense, 2θ from 5° to 70°, by angle)
14.08 deg, 6.292 Å, I 328
15.27 deg, 5.804 Å, I 706
17.31 deg, 5.123 Å, I 460
23.84 deg, 3.732 Å, I 928
25.29 deg, 3.521 Å, I 819
29.06 deg, 3.073 Å, I 680
35.03 deg, 2.561 Å, I 471
38.37 deg, 2.346 Å, I 1000
43.70 deg, 2.071 Å, I 458
44.57 deg, 2.033 Å, I 611
50.64 deg, 1.803 Å, I 402
60.23 deg, 1.536 Å, I 246

Cell and atoms:
```
NaAg2BiCl6
1.0
3.521 2.033 6.292
-3.521 2.033 6.292
0.000 -4.066 6.292
Na Ag Bi Cl
1 2 1 6
Cartesian
0.000 0.000 0.000 Na
0.000 0.000 5.463 Ag
0.000 0.000 15.078 Ag
0.000 0.000 9.300 Bi
-2.116 -0.057 7.582 Cl
-1.316 -1.995 10.694 Cl
1.108 -1.804 7.582 Cl
-1.070 2.137 10.694 Cl
1.009 1.861 7.582 Cl
2.385 -0.142 10.694 Cl
```

---

[10]
For CdAgBr3, a GGA-PBE-relaxed structure gives the calculated XRD peak list in this record (Cu Kα).
Intensities are scaled so that the largest is 1000.

Peak list (12 most intense, 2θ from 5° to 70°, by angle)
14.28 deg, 6.201 Å, I 641
24.29 deg, 3.664 Å, I 325
25.65 deg, 3.472 Å, I 427
27.04 deg, 3.297 Å, I 407
27.90 deg, 3.197 Å, I 576
29.88 deg, 2.990 Å, I 1000
30.74 deg, 2.908 Å, I 320
41.22 deg, 2.190 Å, I 429
41.89 deg, 2.157 Å, I 737
42.39 deg, 2.132 Å, I 374
43.17 deg, 2.096 Å, I 495
44.88 deg, 2.020 Å, I 799

Cell and atoms:
```
CdAgBr3
1.0
7.563 0.000 0.000
0.000 4.191 0.000
-0.656 0.000 9.891
Cd Ag Br
2 2 6
Cartesian
0.553 1.048 1.654 Cd
6.354 3.143 8.237 Cd
2.410 1.048 6.296 Ag
4.497 3.143 3.595 Ag
-0.181 1.048 6.660 Br
1.668 3.143 0.067 Br
2.814 1.048 3.348 Br
4.093 3.143 6.544 Br
5.240 1.048 9.825 Br
7.088 3.143 3.232 Br
```